Simulated XRD peak list
Compound: KCrSe2
Radiation: λ = 1.5418 Å (Cu Kα)
Structure: a crystal structure in Alexandria, relaxed with PBE
Lines closer than 0.1° are merged.

Most intense lines, 15 to 90 degrees two-theta, by angle:
Position (°2θ), intensity, index
27.15, 78, 0 2 0
27.88, 25, 1 -1 0
31.89, 65, 0 2 -1
32.40, 100, 1 0 -2
32.79, 57, 1 1 2
38.56, 23, -1 2 2
39.76, 40, 1 1 3
45.81, 24, 1 -1 3
48.15, 25, 0 2 -3
49.76, 28, 2 0 0

Atomic structure:
```
data_KCrSe2
_chemical_formula_sum 'K2 Cr2 Se4'
_symmetry_space_group_name_H-M 'P -1'
_symmetry_Int_Tables_number 2
_symmetry_space_group_name_Hall '-P 1'
_cell_length_a 3.6645
_cell_length_b 6.8384
_cell_length_c 8.7595
_cell_angle_alpha 73.86
_cell_angle_beta 89.99
_cell_angle_gamma 89.83
loop_
_atom_site_label
_atom_site_type_symbol
_atom_site_fract_x
_atom_site_fract_y
_atom_site_fract_z
K1 K 0.2492 0.3124 0.3222
Cr1 Cr 0.2503 0.1391 0.8509
Se1 Se 0.2499 0.8068 0.3484
Se2 Se 0.2506 0.7673 0.9797
```